Diffraction record for NaNi5H8. The XRD peak list is computed, not measured: it uses a PBE-relaxed structure and a wavelength of 1.5418 Å.
Lines closer than 0.1° are merged.

Principal peaks in the range 2θ = 5–70°, sorted by position:
2θ 13.95, I 87; 2θ 14.92, I 64; 2θ 35.71, I 63; 2θ 40.94, I 84; 2θ 41.13, I 100; 2θ 43.69, I 44; 2θ 43.82, I 42; 2θ 46.61, I 39

Cell and atoms:
```
NaNi5H8
1.0
6.2003 -1.3271 0.0000
6.2003 1.3271 0.0000
-1.9117 0.0000 6.3499
Na Ni H
1 5 8
Cartesian
0.0000 0.0000 0.0000 Na
1.1557 0.0000 2.6610 Ni
1.2437 0.0000 5.2474 Ni
5.2444 0.0000 3.1750 Ni
9.2452 0.0000 1.1026 Ni
9.3332 0.0000 3.6889 Ni
-0.0545 0.0000 3.8796 H
2.6549 0.0000 2.0931 H
3.8791 0.0000 0.4169 H
3.9454 0.0000 4.3273 H
6.5434 0.0000 2.0226 H
6.6097 0.0000 5.9331 H
7.8340 0.0000 4.2568 H
10.5434 0.0000 2.4704 H
```